For Sc2TaPb, the PBE geometry in OQMD gives the computed XRD peak list in this record (copper Kα).
Lines closer than 0.1° are merged.

Principal peaks in the range 2θ from 10° to 80°, most intense first:
h k l, d/Å, 2θ (°), intensity
2 2 0, 2.471, 36.36, 100
1 1 1, 4.035, 22.03, 44
4 2 2, 1.427, 65.41, 36
3 1 1, 2.107, 42.91, 25
4 0 0, 1.747, 52.36, 18
4 4 0, 1.236, 77.21, 11
3 3 1, 1.604, 57.47, 11
5 1 1, 1.345, 69.94, 9

```
data_Sc2TaPb
_space_group_name_H-M_alt 'F -4 3 m'
_space_group_IT_number 216
_space_group_name_Hall 'F -4 2 3'
_cell_length_a 6.9895
_cell_length_b 6.9895
_cell_length_c 6.9895
_cell_angle_alpha 90.00
_cell_angle_beta 90.00
_cell_angle_gamma 90.00
loop_
_atom_site_label
_atom_site_type_symbol
_atom_site_fract_x
_atom_site_fract_y
_atom_site_fract_z
Sc1 Sc 0.0000 0.0000 0.0000
Sc2 Sc 0.2500 0.2500 0.2500
Ta1 Ta 0.2500 0.2500 0.7500
Pb1 Pb 0.0000 0.0000 0.5000
```

=====

For Ta2ReNi, the PBE geometry in OQMD gives the computed XRD peak list in this record (copper Kα).
Lines closer than 0.1° are merged.

Principal peaks in the range 2θ from 10° to 80°, most intense first:
h k l, d/Å, 2θ (°), intensity
2 2 0, 2.220, 40.63, 100
4 2 2, 1.282, 73.94, 34
4 0 0, 1.570, 58.82, 17
1 1 1, 3.626, 24.55, 8
2 0 0, 3.140, 28.42, 5
3 1 1, 1.894, 48.05, 4
4 2 0, 1.404, 66.59, 2
3 3 1, 1.441, 64.70, 2

```
data_Ta2ReNi
_space_group_name_H-M_alt 'F -4 3 m'
_space_group_IT_number 216
_space_group_name_Hall 'F -4 2 3'
_cell_length_a 6.2801
_cell_length_b 6.2801
_cell_length_c 6.2801
_cell_angle_alpha 90.00
_cell_angle_beta 90.00
_cell_angle_gamma 90.00
loop_
_atom_site_label
_atom_site_type_symbol
_atom_site_fract_x
_atom_site_fract_y
_atom_site_fract_z
Ta1 Ta 0.0000 0.0000 0.0000
Ta2 Ta 0.2500 0.2500 0.2500
Re1 Re 0.2500 0.2500 0.7500
Ni1 Ni 0.0000 0.0000 0.5000
```

=====

For SrPrB2Pt8, the PBE geometry in OQMD gives the computed XRD peak list in this record (copper Kα).
Lines closer than 0.1° are merged.

Principal peaks in the range 2θ from 10° to 80°, most intense first:
h k l, d/Å, 2θ (°), intensity
1 1 2, 2.242, 40.22, 100
2 0 0, 2.398, 37.51, 97
2 0 2, 2.031, 44.61, 68
0 0 3, 2.548, 35.23, 52
1 1 1, 2.603, 34.45, 51
1 0 0, 4.796, 18.50, 50
2 2 0, 1.384, 67.68, 40
2 0 3, 1.746, 52.40, 36

```
data_SrPrB2Pt8
_space_group_name_H-M_alt 'P 6/m m m'
_space_group_IT_number 191
_space_group_name_Hall '-P 6 2'
_cell_length_a 5.5374
_cell_length_b 5.5374
_cell_length_c 7.6426
_cell_angle_alpha 90.00
_cell_angle_beta 90.00
_cell_angle_gamma 120.00
loop_
_atom_site_label
_atom_site_type_symbol
_atom_site_fract_x
_atom_site_fract_y
_atom_site_fract_z
Sr1 Sr 0.0000 0.0000 0.0000
Pr1 Pr 0.0000 0.0000 0.5000
B1 B 0.3333 0.6667 0.0000
Pt1 Pt 0.0000 0.5000 0.1984
Pt2 Pt 0.3333 0.6667 0.5000
```

=====

For RbReSO3, the PBE geometry in OQMD gives the computed XRD peak list in this record (copper Kα).
Lines closer than 0.1° are merged.

Principal peaks in the range 2θ from 10° to 80°, most intense first:
h k l, d/Å, 2θ (°), intensity
0 0 2, 3.633, 24.50, 100
1 2 -1, 3.432, 25.96, 86
1 2 1, 2.943, 30.38, 66
2 0 0, 4.035, 22.03, 52
3 2 -1, 2.376, 37.86, 34
1 1 0, 5.605, 15.81, 29
1 2 -3, 2.206, 40.92, 28
0 4 2, 1.716, 53.38, 26

```
data_RbReSO3
_space_group_name_H-M_alt 'P 1 21/c 1'
_space_group_IT_number 14
_space_group_name_Hall '-P 2ybc'
_cell_length_a 9.0298
_cell_length_b 7.7889
_cell_length_c 8.1379
_cell_angle_alpha 90.00
_cell_angle_beta 116.65
_cell_angle_gamma 90.00
loop_
_atom_site_label
_atom_site_type_symbol
_atom_site_fract_x
_atom_site_fract_y
_atom_site_fract_z
Rb1 Rb 0.1975 0.1348 0.4777
Re1 Re 0.2252 0.6273 0.4956
S1 S 0.4579 0.7367 0.1091
O1 O 0.0636 0.7216 0.9201
O2 O 0.2060 0.5013 0.3088
O3 O 0.2143 0.0085 0.1616
```